# 1
For CsGePb2I8, the GGA-PBE geometry in Alexandria gives the theoretical X-ray powder pattern in this record (Cu Kα X-rays).
Intensities are scaled so that the largest is 100.

Atomic structure:
```
data_CsGePb2I8
_chemical_formula_sum 'Cs1 Ge1 Pb2 I8'
_symmetry_space_group_name_H-M 'P 1'
_symmetry_Int_Tables_number 1
_cell_length_a 6.726
_cell_length_b 7.864
_cell_length_c 10.920
_cell_angle_alpha 89.98
_cell_angle_beta 89.90
_cell_angle_gamma 89.86
loop_
_symmetry_equiv_pos_as_xyz
'x,y,z'
loop_
_atom_site_label
_atom_site_type_symbol
_atom_site_fract_x
_atom_site_fract_y
_atom_site_fract_z
Cs1 Cs 0.000 0.000 0.000
Ge1 Ge 0.000 0.000 0.500
Pb1 Pb 0.500 0.500 0.290
Pb2 Pb 0.500 0.500 0.710
I1 I 0.237 0.841 0.702
I2 I 0.239 0.842 0.298
I3 I 0.241 0.336 0.500
I4 I 0.249 0.483 0.000
I5 I 0.751 0.517 0.000
I6 I 0.759 0.664 0.500
I7 I 0.761 0.158 0.702
I8 I 0.763 0.159 0.298
```

Principal peaks in the range 2θ = 10–90°, in order of falling intensity:
two_theta	d_spacing	I_rel
33.30	2.690	100
17.34	5.115	76
23.84	3.733	66
26.27	3.392	40
30.13	2.966	38
20.96	4.239	35
42.50	2.127	30
31.03	2.882	30
38.08	2.363	26
32.81	2.730	23



# 2
For Ce3Ga8Au3, the GGA-PBE geometry in Alexandria gives the theoretical X-ray powder pattern in this record (Cu Kα X-rays).
Intensities are scaled so that the largest is 100.

Atomic structure:
```
data_Ce3Ga8Au3
_chemical_formula_sum 'Ce3 Ga8 Au3'
_symmetry_space_group_name_H-M 'P 1'
_symmetry_Int_Tables_number 1
_cell_length_a 8.442
_cell_length_b 8.442
_cell_length_c 8.442
_cell_angle_alpha 149.26
_cell_angle_beta 112.64
_cell_angle_gamma 75.85
loop_
_symmetry_equiv_pos_as_xyz
'x,y,z'
loop_
_atom_site_label
_atom_site_type_symbol
_atom_site_fract_x
_atom_site_fract_y
_atom_site_fract_z
Ce1 Ce 0.000 0.000 0.000
Ce2 Ce 0.301 0.301 0.000
Ce3 Ce 0.699 0.699 0.000
Ga1 Ga 0.028 0.661 0.367
Ga2 Ga 0.139 0.858 0.281
Ga3 Ga 0.294 0.661 0.633
Ga4 Ga 0.423 0.142 0.281
Ga5 Ga 0.577 0.858 0.719
Ga6 Ga 0.706 0.339 0.367
Ga7 Ga 0.861 0.142 0.719
Ga8 Ga 0.972 0.339 0.633
Au1 Au 0.295 0.500 0.795
Au2 Au 0.500 0.000 0.500
Au3 Au 0.705 0.500 0.205
```

Principal peaks in the range 2θ = 10–90°, in order of falling intensity:
two_theta	d_spacing	I_rel
34.30	2.614	100
40.31	2.238	33
37.64	2.389	32
28.39	3.144	27
40.64	2.220	21
13.30	6.659	18
11.55	7.660	17
35.12	2.555	16
58.58	1.576	14
44.65	2.029	13



# 3
For Ca2MgGa3, the GGA-PBE geometry in Alexandria gives the theoretical X-ray powder pattern in this record (Cu Kα X-rays).
Intensities are scaled so that the largest is 100.

Atomic structure:
```
data_Ca2MgGa3
_chemical_formula_sum 'Ca2 Mg1 Ga3'
_symmetry_space_group_name_H-M 'P 1'
_symmetry_Int_Tables_number 1
_cell_length_a 8.572
_cell_length_b 8.572
_cell_length_c 8.572
_cell_angle_alpha 153.34
_cell_angle_beta 148.30
_cell_angle_gamma 41.88
loop_
_symmetry_equiv_pos_as_xyz
'x,y,z'
loop_
_atom_site_label
_atom_site_type_symbol
_atom_site_fract_x
_atom_site_fract_y
_atom_site_fract_z
Ca1 Ca 0.000 0.000 0.000
Ca2 Ca 0.778 0.278 0.500
Mg1 Mg 0.601 0.601 0.000
Ga1 Ga 0.182 0.682 0.500
Ga2 Ga 0.340 0.840 0.500
Ga3 Ga 0.434 0.434 0.000
```

Principal peaks in the range 2θ = 10–90°, in order of falling intensity:
two_theta	d_spacing	I_rel
31.66	2.826	100
45.88	1.978	41
19.75	4.495	40
38.45	2.342	33
61.35	1.511	33
33.91	2.643	31
36.10	2.488	31
45.35	2.000	30
11.05	8.006	21
53.76	1.705	19